Theoretical X-ray powder pattern
Compound: NdNb4O12
Radiation: Cu Kα, 1.54184 Å
Structure: a structure optimized by DFT (GGA-PBE)
No peak broadening, texture or thermal motion is included.

Main lines, most intense first (2θ = 10–90°):
- d 2.794, rel. 100
- d 3.973, rel. 56
- d 2.809, rel. 49
- d 1.619, rel. 42
- d 4.570, rel. 35
- d 5.583, rel. 31
- d 7.957, rel. 28
- d 3.928, rel. 27

```
NdNb4O12
1.0
7.9571 0.0000 0.0000
0.0000 3.9283 3.9677
0.0000 -3.9283 3.9677
Nd Nb O
1 4 12
direct
0.0000 0.0000 0.0000
0.2591 0.4948 0.9914
0.2591 0.9914 0.4948
0.7409 0.4948 0.9914
0.7409 0.9914 0.4948
0.0000 0.0243 0.4445
0.0000 0.4445 0.0243
0.1971 0.7545 0.7545
0.2279 0.2311 0.7515
0.2279 0.7515 0.2311
0.2716 0.2353 0.2353
0.5000 0.5290 0.9521
0.5000 0.9521 0.5290
0.7284 0.2353 0.2353
0.7721 0.2311 0.7515
0.7721 0.7515 0.2311
0.8029 0.7545 0.7545
```

***

Theoretical X-ray powder pattern
Compound: Ca2Mg
Radiation: Cu Kα, 1.54184 Å
Structure: a structure optimized by DFT (GGA-PBE)
No peak broadening, texture or thermal motion is included.

Main lines, most intense first (2θ = 10–90°):
- d 2.885, rel. 100
- d 2.853, rel. 60
- d 3.120, rel. 56
- d 2.976, rel. 54
- d 2.681, rel. 45
- d 2.239, rel. 21
- d 1.868, rel. 17
- d 1.700, rel. 15

```
Ca2Mg
1.0
10.6611 0.0000 0.0000
0.0000 6.5970 0.0000
-3.0430 0.0000 5.9514
Ca Mg
8 4
direct
0.1683 0.1231 0.2207
0.1683 0.8769 0.7207
0.3317 0.3769 0.7793
0.3317 0.6231 0.2793
0.6683 0.3769 0.7207
0.6683 0.6231 0.2207
0.8317 0.1231 0.2793
0.8317 0.8769 0.7793
0.0000 0.4187 0.7500
0.0000 0.5813 0.2500
0.5000 0.0813 0.2500
0.5000 0.9187 0.7500
```

***

Theoretical X-ray powder pattern
Compound: Gd8Zr7O26
Radiation: Cu Kα, 1.54184 Å
Structure: a structure optimized by DFT (GGA-PBE)
No peak broadening, texture or thermal motion is included.

Main lines, most intense first (2θ = 10–90°):
- d 3.111, rel. 100
- d 3.028, rel. 93
- d 1.886, rel. 62
- d 2.637, rel. 40
- d 1.576, rel. 24
- d 2.700, rel. 21
- d 1.612, rel. 21
- d 6.223, rel. 17

```
Gd8Zr7O26
1.0
6.5177 -3.8068 0.0000
6.5177 3.8068 0.0000
-4.8435 0.0000 12.1162
Gd Zr O
8 7 26
direct
0.0000 0.0000 0.0000
0.0000 0.5000 0.0000
0.0000 0.5000 0.5000
0.2413 0.2413 0.2467
0.5000 0.0000 0.0000
0.5000 0.0000 0.5000
0.5000 0.5000 0.5000
0.7587 0.7587 0.7533
0.0000 0.0000 0.5000
0.2375 0.7351 0.2326
0.2558 0.2558 0.7370
0.2649 0.7625 0.7674
0.7351 0.2375 0.2326
0.7442 0.7442 0.2630
0.7625 0.2649 0.7674
0.0038 0.6247 0.1934
0.0437 0.0437 0.2018
0.1253 0.5520 0.7101
0.1736 0.7507 0.5853
0.1749 0.1749 0.5760
0.1956 0.1956 0.0646
0.2142 0.6607 0.0695
0.2493 0.8264 0.4147
0.3106 0.3106 0.4386
0.3393 0.7858 0.9305
0.3753 0.9962 0.8066
0.4416 0.4416 0.2819
0.4480 0.8747 0.2899
0.5520 0.1253 0.7101
0.5584 0.5584 0.7181
0.6247 0.0038 0.1934
0.6607 0.2142 0.0695
0.6894 0.6894 0.5614
0.7507 0.1736 0.5853
0.7858 0.3393 0.9305
0.8044 0.8044 0.9354
0.8251 0.8251 0.4240
0.8264 0.2493 0.4147
0.8747 0.4480 0.2899
0.9563 0.9563 0.7982
0.9962 0.3753 0.8066
```

***

Theoretical X-ray powder pattern
Compound: CaTi4O8
Radiation: Cu Kα, 1.54184 Å
Structure: a structure optimized by DFT (GGA-PBE)
No peak broadening, texture or thermal motion is included.

Main lines, most intense first (2θ = 10–90°):
- d 5.370, rel. 100
- d 2.685, rel. 85
- d 4.876, rel. 75
- d 3.122, rel. 72
- d 7.263, rel. 70
- d 2.540, rel. 68
- d 7.177, rel. 61
- d 1.866, rel. 60

```
CaTi4O8
1.0
7.2109 -1.5120 0.0000
7.2109 1.5120 0.0000
-6.5095 0.0000 7.2631
Ca Ti O
1 4 8
direct
0.0000 0.0000 0.0000
0.0345 0.0345 0.3589
0.2374 0.2374 0.0649
0.5444 0.5444 0.6970
0.7468 0.7468 0.4169
0.1683 0.1683 0.8138
0.2147 0.2147 0.5178
0.2315 0.2315 0.2634
0.5242 0.5242 0.4819
0.5437 0.5437 0.2161
0.5967 0.5967 0.9527
0.8513 0.8513 0.1455
0.9228 0.9228 0.6201
```

***

Theoretical X-ray powder pattern
Compound: NdAl4Ni
Radiation: Cu Kα, 1.54184 Å
Structure: a structure optimized by DFT (GGA-PBE)
No peak broadening, texture or thermal motion is included.

Main lines, most intense first (2θ = 10–90°):
- d 2.539, rel. 100
- d 2.917, rel. 86
- d 5.045, rel. 59
- d 2.441, rel. 56
- d 2.512, rel. 46
- d 4.011, rel. 44
- d 2.074, rel. 40
- d 3.281, rel. 40

```
NdAl4Ni
1.0
2.0738 -7.8911 0.0000
2.0738 7.8911 0.0000
0.0000 0.0000 6.5612
Nd Al Ni
2 8 2
direct
0.1143 0.8857 0.7500
0.8857 0.1143 0.2500
0.0774 0.9226 0.2500
0.3083 0.6917 0.5516
0.3083 0.6917 0.9484
0.5000 0.5000 0.0000
0.5000 0.5000 0.5000
0.6917 0.3083 0.0516
0.6917 0.3083 0.4484
0.9226 0.0774 0.7500
0.2230 0.7770 0.2500
0.7770 0.2230 0.7500
```